(1)
Structure and theoretical X-ray powder pattern of TbSmAl2Zn2 (DFT lattice parameters and positions (PBE); Cu Kα (weighted mean of Kα1 and Kα2)).

Main lines, in order of falling intensity (2θ from 5° to 70°):
| (hkl) | 2theta | I_rel |
| --- | --- | --- |
| 1 0 2 | 33.54 | 100 |
| 1 1 0 | 39.99 | 48 |
| 1 0 0 | 22.77 | 35 |
| 0 2 2 | 53.15 | 27 |
| 2 1 2 | 68.54 | 25 |
| 1 1 4 | 65.67 | 20 |
| 0 0 4 | 49.77 | 8 |
| 0 1 4 | 55.40 | 7 |
| 0 1 1 | 25.85 | 7 |
| 2 0 0 | 46.51 | 5 |
| 2 1 0 | 62.98 | 4 |
| 1 1 2 | 47.34 | 3 |

Cell and atoms:
```
data_TbSmAl2Zn2
_cell_length_a 4.5091
_cell_length_b 4.5091
_cell_length_c 7.3284
_cell_angle_alpha 90.00
_cell_angle_beta 90.00
_cell_angle_gamma 120.00
_space_group_name_H-M_alt 'P -3 m 1'
_space_group_IT_number 164
_space_group_name_Hall '-P 3 2"'
loop_
_atom_site_label
_atom_site_type_symbol
_atom_site_fract_x
_atom_site_fract_y
_atom_site_fract_z
Tb1 Tb 0.0000 0.0000 0.0000
Sm1 Sm 0.0000 0.0000 0.5000
Al1 Al 0.3333 0.6667 0.2385
Zn1 Zn 0.3333 0.6667 0.7661
```



(2)
Structure and theoretical X-ray powder pattern of SmAl2Te4 (DFT lattice parameters and positions (PBE); Cu Kα (weighted mean of Kα1 and Kα2)).

Main lines, in order of falling intensity (2θ from 5° to 70°):
| (hkl) | 2theta | I_rel |
| --- | --- | --- |
| 2 1 1 | 27.38 | 100 |
| 1 3 2 | 43.46 | 32 |
| 0 0 2 | 25.86 | 31 |
| 2 1 3 | 46.57 | 28 |
| 1 4 1 | 47.23 | 24 |
| 1 3 0 | 34.31 | 18 |
| 2 2 0 | 30.60 | 16 |
| 1 0 1 | 16.75 | 14 |
| 1 4 3 | 61.40 | 11 |
| 4 3 1 | 57.32 | 9 |
| 2 2 2 | 40.48 | 7 |
| 2 0 2 | 33.88 | 7 |

Cell and atoms:
```
data_SmAl2Te4
_cell_length_a 8.265
_cell_length_b 8.265
_cell_length_c 6.889
_cell_angle_alpha 90.00
_cell_angle_beta 90.00
_cell_angle_gamma 90.00
_space_group_name_H-M_alt 'I 4/m'
_space_group_IT_number 87
_space_group_name_Hall '-I 4'
loop_
_atom_site_label
_atom_site_type_symbol
_atom_site_fract_x
_atom_site_fract_y
_atom_site_fract_z
Sm1 Sm 0.000 0.000 0.000
Al1 Al 0.000 0.500 0.250
Te1 Te 0.164 0.313 0.500
```



(3)
Structure and theoretical X-ray powder pattern of Sm3AlTl3Te8 (DFT lattice parameters and positions (PBE); Cu Kα (weighted mean of Kα1 and Kα2)).

Main lines, in order of falling intensity (2θ from 5° to 70°):
| (hkl) | 2theta | I_rel |
| --- | --- | --- |
| 4 0 0 | 27.44 | 100 |
| 2 2 2 | 37.63 | 36 |
| 0 4 0 | 40.70 | 35 |
| 4 4 0 | 49.79 | 18 |
| 10 2 -2 | 66.19 | 15 |
| 6 2 2 | 61.87 | 12 |
| 2 0 0 | 13.62 | 12 |
| 8 0 0 | 56.62 | 11 |
| 4 0 -3 | 29.59 | 6 |
| 0 0 4 | 44.49 | 6 |
| 0 2 2 | 29.79 | 5 |
| 1 1 0 | 12.08 | 5 |

Cell and atoms:
```
data_Sm3AlTl3Te8
_cell_length_a 15.354
_cell_length_b 8.869
_cell_length_c 9.620
_cell_angle_alpha 90.00
_cell_angle_beta 122.13
_cell_angle_gamma 90.00
_space_group_name_H-M_alt 'C 1 2/m 1'
_space_group_IT_number 12
loop_
_space_group_symop_operation_xyz
'x,y,z'
'-x,-y,-z'
'-x,y,-z'
'x,-y,z'
'x+1/2,y+1/2,z'
'-x+1/2,-y+1/2,-z'
'-x+1/2,y+1/2,-z'
'x+1/2,-y+1/2,z'
loop_
_atom_site_label
_atom_site_type_symbol
_atom_site_fract_x
_atom_site_fract_y
_atom_site_fract_z
Sm1 Sm 0.000 0.000 0.000
Sm2 Sm 0.250 0.250 0.000
Al1 Al 0.000 0.500 0.000
Tl1 Tl 0.000 0.500 0.500
Tl2 Tl 0.250 0.250 0.500
Te1 Te 0.008 0.271 0.797
Te2 Te 0.220 0.500 0.203
Te3 Te 0.241 0.000 0.222
```



(4)
Structure and theoretical X-ray powder pattern of Sm12ThAl3 (DFT lattice parameters and positions (PBE); Cu Kα (weighted mean of Kα1 and Kα2)).

Main lines, in order of falling intensity (2θ from 5° to 70°):
| (hkl) | 2theta | I_rel |
| --- | --- | --- |
| 1 1 4 | 31.54 | 100 |
| 2 0 0 | 36.74 | 34 |
| 3 1 4 | 62.93 | 28 |
| 2 0 8 | 52.57 | 22 |
| 0 0 8 | 36.25 | 16 |
| 1 1 12 | 62.28 | 12 |
| 2 2 0 | 52.93 | 12 |
| 2 2 8 | 65.84 | 11 |
| 1 0 0 | 18.13 | 4 |
| 1 0 1 | 18.68 | 3 |
| 1 0 4 | 25.58 | 3 |
| 1 1 3 | 29.13 | 3 |

Cell and atoms:
```
data_Sm12ThAl3
_cell_length_a 4.893
_cell_length_b 4.893
_cell_length_c 19.823
_cell_angle_alpha 90.00
_cell_angle_beta 90.00
_cell_angle_gamma 90.00
_space_group_name_H-M_alt 'P 4/m m m'
_space_group_IT_number 123
_space_group_name_Hall '-P 4 2'
loop_
_atom_site_label
_atom_site_type_symbol
_atom_site_fract_x
_atom_site_fract_y
_atom_site_fract_z
Sm1 Sm 0.000 0.000 0.000
Sm2 Sm 0.000 0.000 0.243
Sm3 Sm 0.000 0.000 0.500
Sm4 Sm 0.000 0.500 0.122
Sm5 Sm 0.000 0.500 0.367
Th1 Th 0.500 0.500 0.500
Al1 Al 0.500 0.500 0.000
Al2 Al 0.500 0.500 0.243
```



(5)
Structure and theoretical X-ray powder pattern of SmTh2Al2 (DFT lattice parameters and positions (PBE); Cu Kα (weighted mean of Kα1 and Kα2)).

Main lines, in order of falling intensity (2θ from 5° to 70°):
| (hkl) | 2theta | I_rel |
| --- | --- | --- |
| 1 5 0 | 30.83 | 100 |
| 0 2 1 | 18.63 | 79 |
| 1 3 1 | 26.82 | 70 |
| 2 2 1 | 35.58 | 60 |
| 2 0 0 | 30.03 | 41 |
| 1 7 1 | 43.96 | 25 |
| 0 2 2 | 32.64 | 23 |
| 1 1 2 | 34.77 | 23 |
| 1 7 2 | 52.09 | 22 |
| 0 4 2 | 37.78 | 19 |
| 3 5 0 | 53.84 | 19 |
| 2 2 3 | 57.85 | 16 |

Cell and atoms:
```
data_SmTh2Al2
_cell_length_a 5.951
_cell_length_b 16.597
_cell_length_c 5.814
_cell_angle_alpha 90.00
_cell_angle_beta 90.00
_cell_angle_gamma 90.00
_space_group_name_H-M_alt 'C m c m'
_space_group_IT_number 63
_space_group_name_Hall '-C 2c 2'
loop_
_atom_site_label
_atom_site_type_symbol
_atom_site_fract_x
_atom_site_fract_y
_atom_site_fract_z
Sm1 Sm 0.000 0.000 0.000
Th1 Th 0.000 0.198 0.250
Th2 Th 0.000 0.383 0.750
Al1 Al 0.242 0.143 0.750
```



(6)
Structure and theoretical X-ray powder pattern of Sm4AlTl (DFT lattice parameters and positions (PBE); Cu Kα (weighted mean of Kα1 and Kα2)).

Main lines, in order of falling intensity (2θ from 5° to 70°):
| (hkl) | 2theta | I_rel |
| --- | --- | --- |
| 1 1 2 | 35.20 | 100 |
| 0 2 0 | 30.84 | 48 |
| 0 1 3 | 34.55 | 39 |
| 1 0 1 | 25.90 | 29 |
| 1 3 2 | 57.70 | 24 |
| 1 1 0 | 28.37 | 22 |
| 1 2 1 | 40.70 | 18 |
| 1 0 5 | 58.44 | 17 |
| 1 2 5 | 67.54 | 16 |
| 2 2 0 | 58.70 | 16 |
| 0 0 2 | 20.40 | 15 |
| 2 1 3 | 61.02 | 15 |

Cell and atoms:
```
data_Sm4AlTl
_cell_length_a 3.745
_cell_length_b 5.798
_cell_length_c 8.709
_cell_angle_alpha 90.00
_cell_angle_beta 90.00
_cell_angle_gamma 90.00
_space_group_name_H-M_alt 'P m m m'
_space_group_IT_number 47
loop_
_space_group_symop_operation_xyz
'x,y,z'
'-x,-y,-z'
'-x,-y,z'
'x,y,-z'
'x,-y,-z'
'-x,y,z'
'-x,y,-z'
'x,-y,z'
loop_
_atom_site_label
_atom_site_type_symbol
_atom_site_fract_x
_atom_site_fract_y
_atom_site_fract_z
Sm1 Sm 0.000 0.000 0.199
Sm2 Sm 0.500 0.500 0.281
Al1 Al 0.000 0.500 0.000
Tl1 Tl 0.500 0.000 0.500
```



(7)
Structure and theoretical X-ray powder pattern of Sm12Tm6Al (DFT lattice parameters and positions (PBE); Cu Kα (weighted mean of Kα1 and Kα2)).

Main lines, in order of falling intensity (2θ from 5° to 70°):
| (hkl) | 2theta | I_rel |
| --- | --- | --- |
| 1 3 1 | 31.89 | 100 |
| 3 -1 4 | 33.13 | 69 |
| 0 1 5 | 30.98 | 37 |
| 4 -1 2 | 33.56 | 30 |
| 0 3 3 | 31.59 | 25 |
| 5 2 0 | 55.70 | 18 |
| 1 1 3 | 23.21 | 15 |
| 2 2 3 | 35.09 | 15 |
| 2 6 2 | 66.69 | 13 |
| 2 0 5 | 34.54 | 13 |
| 5 2 3 | 58.96 | 12 |
| 5 -2 4 | 45.34 | 12 |

Cell and atoms:
```
data_Sm12Tm6Al
_cell_length_a 11.8925
_cell_length_b 11.8925
_cell_length_c 15.0345
_cell_angle_alpha 90.00
_cell_angle_beta 90.00
_cell_angle_gamma 120.00
_space_group_name_H-M_alt 'R -3'
_space_group_IT_number 148
_space_group_name_Hall '-R 3'
loop_
_atom_site_label
_atom_site_type_symbol
_atom_site_fract_x
_atom_site_fract_y
_atom_site_fract_z
Sm1 Sm 0.0109 0.1784 0.3154
Sm2 Sm 0.0486 0.8482 0.9140
Tm1 Tm 0.0297 0.4367 0.1931
Al1 Al 0.0000 0.0000 0.5000
```



(8)
Structure and theoretical X-ray powder pattern of Sm2TmAl6 (DFT lattice parameters and positions (PBE); Cu Kα (weighted mean of Kα1 and Kα2)).

Main lines, in order of falling intensity (2θ from 5° to 70°):
| (hkl) | 2theta | I_rel |
| --- | --- | --- |
| 1 1 1 | 33.94 | 100 |
| 1 1 0 | 22.40 | 70 |
| 3 0 0 | 39.31 | 44 |
| 2 2 1 | 52.89 | 28 |
| 4 1 1 | 67.85 | 27 |
| 3 0 2 | 66.80 | 18 |
| 3 0 1 | 47.25 | 13 |
| 1 1 2 | 56.99 | 11 |
| 2 2 0 | 45.71 | 11 |
| 0 0 1 | 25.17 | 11 |
| 4 1 0 | 61.84 | 9 |
| 0 0 2 | 51.67 | 7 |

Cell and atoms:
```
data_Sm2TmAl6
_cell_length_a 7.9391
_cell_length_b 7.9391
_cell_length_c 3.5383
_cell_angle_alpha 90.00
_cell_angle_beta 90.00
_cell_angle_gamma 120.00
_space_group_name_H-M_alt 'P 6/m m m'
_space_group_IT_number 191
_space_group_name_Hall '-P 6 2'
loop_
_atom_site_label
_atom_site_type_symbol
_atom_site_fract_x
_atom_site_fract_y
_atom_site_fract_z
Sm1 Sm 0.3333 0.6667 0.0000
Tm1 Tm 0.0000 0.0000 0.0000
Al1 Al 0.0000 0.3312 0.5000
```



(9)
Structure and theoretical X-ray powder pattern of SmTm2Al9 (DFT lattice parameters and positions (PBE); Cu Kα (weighted mean of Kα1 and Kα2)).

Main lines, in order of falling intensity (2θ from 5° to 70°):
| (hkl) | 2theta | I_rel |
| --- | --- | --- |
| 1 1 3 | 36.55 | 100 |
| 1 0 0 | 20.86 | 94 |
| 1 1 0 | 29.67 | 80 |
| 2 0 0 | 42.46 | 49 |
| 2 1 0 | 47.77 | 44 |
| 1 1 6 | 52.66 | 33 |
| 2 2 0 | 61.61 | 32 |
| 0 0 9 | 65.80 | 21 |
| 3 1 0 | 69.86 | 14 |
| 0 0 1 | 6.92 | 1 |

Cell and atoms:
```
data_SmTm2Al9
_cell_length_a 4.258
_cell_length_b 4.258
_cell_length_c 12.769
_cell_angle_alpha 90.00
_cell_angle_beta 90.00
_cell_angle_gamma 90.00
_space_group_name_H-M_alt 'P 4/m m m'
_space_group_IT_number 123
_space_group_name_Hall '-P 4 2'
loop_
_atom_site_label
_atom_site_type_symbol
_atom_site_fract_x
_atom_site_fract_y
_atom_site_fract_z
Sm1 Sm 0.000 0.000 0.000
Tm1 Tm 0.000 0.000 0.336
Al1 Al 0.000 0.500 0.171
Al2 Al 0.000 0.500 0.500
Al3 Al 0.500 0.500 0.000
Al4 Al 0.500 0.500 0.334
```



(10)
Structure and theoretical X-ray powder pattern of Sm3Tm2Al2 (DFT lattice parameters and positions (PBE); Cu Kα (weighted mean of Kα1 and Kα2)).

Main lines, in order of falling intensity (2θ from 5° to 70°):
| (hkl) | 2theta | I_rel |
| --- | --- | --- |
| 1 0 7 | 32.32 | 100 |
| 1 1 0 | 35.92 | 44 |
| 2 1 7 | 62.31 | 36 |
| 0 0 2 | 5.66 | 27 |
| 1 0 5 | 29.03 | 24 |
| 1 0 1 | 25.35 | 16 |
| 2 0 0 | 51.71 | 16 |
| 1 1 14 | 55.21 | 13 |
| 1 1 12 | 50.65 | 10 |
| 1 0 17 | 56.49 | 9 |
| 0 0 14 | 40.47 | 8 |
| 0 0 8 | 22.80 | 8 |

Cell and atoms:
```
data_Sm3Tm2Al2
_cell_length_a 3.535
_cell_length_b 3.535
_cell_length_c 31.204
_cell_angle_alpha 90.00
_cell_angle_beta 90.00
_cell_angle_gamma 90.00
_space_group_name_H-M_alt 'I 4/m m m'
_space_group_IT_number 139
_space_group_name_Hall '-I 4 2'
loop_
_atom_site_label
_atom_site_type_symbol
_atom_site_fract_x
_atom_site_fract_y
_atom_site_fract_z
Sm1 Sm 0.000 0.000 0.000
Sm2 Sm 0.000 0.000 0.128
Tm1 Tm 0.000 0.000 0.288
Al1 Al 0.000 0.000 0.436
```



(11)
Structure and theoretical X-ray powder pattern of Sm3TmAl3 (DFT lattice parameters and positions (PBE); Cu Kα (weighted mean of Kα1 and Kα2)).

Main lines, in order of falling intensity (2θ from 5° to 70°):
| (hkl) | 2theta | I_rel |
| --- | --- | --- |
| 2 2 2 | 35.54 | 100 |
| 2 2 0 | 24.23 | 78 |
| 0 0 2 | 25.60 | 35 |
| 0 4 0 | 33.98 | 29 |
| 4 0 0 | 35.09 | 24 |
| 4 4 2 | 56.70 | 21 |
| 2 6 2 | 61.82 | 20 |
| 4 4 0 | 49.65 | 18 |
| 0 4 2 | 43.02 | 18 |
| 6 2 2 | 63.24 | 16 |
| 4 0 2 | 43.94 | 15 |
| 2 2 4 | 58.72 | 14 |

Cell and atoms:
```
data_Sm3TmAl3
_cell_length_a 10.230
_cell_length_b 10.553
_cell_length_c 6.960
_cell_angle_alpha 90.00
_cell_angle_beta 90.00
_cell_angle_gamma 90.00
_space_group_name_H-M_alt 'C m m m'
_space_group_IT_number 65
_space_group_name_Hall '-C 2 2'
loop_
_atom_site_label
_atom_site_type_symbol
_atom_site_fract_x
_atom_site_fract_y
_atom_site_fract_z
Sm1 Sm 0.000 0.245 0.000
Sm2 Sm 0.225 0.000 0.500
Sm3 Sm 0.249 0.000 0.000
Tm1 Tm 0.000 0.254 0.500
Al1 Al 0.000 0.500 0.270
Al2 Al 0.250 0.250 0.263
```



(12)
Structure and theoretical X-ray powder pattern of Sm2Tm3Al (DFT lattice parameters and positions (PBE); Cu Kα (weighted mean of Kα1 and Kα2)).

Main lines, in order of falling intensity (2θ from 5° to 70°):
| (hkl) | 2theta | I_rel |
| --- | --- | --- |
| 1 3 1 | 31.95 | 100 |
| 0 6 0 | 36.35 | 17 |
| 0 0 2 | 37.20 | 17 |
| 2 0 0 | 37.61 | 16 |
| 1 9 1 | 62.66 | 14 |
| 1 3 3 | 63.80 | 14 |
| 3 3 1 | 64.35 | 13 |
| 0 6 2 | 52.99 | 12 |
| 2 6 2 | 66.79 | 12 |
| 2 0 2 | 53.93 | 12 |
| 2 6 0 | 53.31 | 12 |
| 1 1 1 | 26.90 | 5 |

Cell and atoms:
```
data_Sm2Tm3Al
_cell_length_a 4.783
_cell_length_b 14.828
_cell_length_c 4.834
_cell_angle_alpha 90.00
_cell_angle_beta 90.00
_cell_angle_gamma 90.00
_space_group_name_H-M_alt 'C m m m'
_space_group_IT_number 65
_space_group_name_Hall '-C 2 2'
loop_
_atom_site_label
_atom_site_type_symbol
_atom_site_fract_x
_atom_site_fract_y
_atom_site_fract_z
Sm1 Sm 0.000 0.159 0.000
Tm1 Tm 0.000 0.000 0.500
Tm2 Tm 0.000 0.337 0.500
Al1 Al 0.000 0.500 0.000
```